No. 1
Theoretical PXRD pattern of TbGe2Rh2 for copper Kα, from a cell relaxed with GGA-PBE.

Main lines, low angle first (2θ from 5° to 70°):
| 2θ/deg | I (rel.) |
| --- | --- |
| 33.73 | 52.4 |
| 34.48 | 8.9 |
| 35.20 | 100.0 |
| 43.76 | 51.8 |
| 46.73 | 13.0 |
| 49.01 | 21.0 |
| 56.37 | 24.0 |
| 62.24 | 16.2 |
| 63.62 | 16.8 |
| 67.78 | 15.7 |

Structural model:
```
data_TbGe2Rh2
_cell_length_a 5.9678
_cell_length_b 5.9678
_cell_length_c 5.9678
_cell_angle_alpha 139.44
_cell_angle_beta 139.44
_cell_angle_gamma 58.70
_space_group_name_H-M_alt 'P 1'
_space_group_IT_number 1
loop_
_space_group_symop_operation_xyz
'x,y,z'
loop_
_atom_site_label
_atom_site_fract_x
_atom_site_fract_y
_atom_site_fract_z
Tb1 0.0000 0.0000 0.0000
Ge1 0.3786 0.3786 0.0000
Ge2 0.6214 0.6214 0.0000
Rh1 0.2500 0.7500 0.5000
Rh2 0.7500 0.2500 0.5000
```

No. 2
Theoretical PXRD pattern of Er2Cu3Ni4 for copper Kα, from a cell relaxed with GGA-PBE.

Main lines, low angle first (2θ from 5° to 70°):
| 2θ/deg | I (rel.) |
| --- | --- |
| 30.28 | 39.6 |
| 35.44 | 17.8 |
| 36.84 | 24.9 |
| 37.52 | 24.2 |
| 40.32 | 12.2 |
| 41.36 | 13.4 |
| 42.37 | 100.0 |
| 43.05 | 18.4 |
| 43.67 | 27.6 |
| 47.92 | 19.5 |

Structural model:
```
data_Er2Cu3Ni4
_cell_length_a 7.5985
_cell_length_b 6.6648
_cell_length_c 4.9810
_cell_angle_alpha 80.03
_cell_angle_beta 59.75
_cell_angle_gamma 40.21
_space_group_name_H-M_alt 'P 1'
_space_group_IT_number 1
loop_
_space_group_symop_operation_xyz
'x,y,z'
loop_
_atom_site_label
_atom_site_fract_x
_atom_site_fract_y
_atom_site_fract_z
Er1 0.1452 0.1452 0.8548
Er2 0.8548 0.8548 0.1452
Cu1 0.0000 0.0000 0.5000
Cu2 0.5000 0.5000 0.0000
Cu3 0.5000 0.5000 0.5000
Ni1 0.1574 0.5037 0.4963
Ni2 0.4963 0.8426 0.1574
Ni3 0.5037 0.1574 0.8426
Ni4 0.8426 0.4963 0.5037
```

No. 3
Theoretical PXRD pattern of Na3Ti2P3O12 for copper Kα, from a cell relaxed with GGA-PBE.

Main lines, low angle first (2θ from 5° to 70°):
| 2θ/deg | I (rel.) |
| --- | --- |
| 13.87 | 59.6 |
| 19.49 | 68.7 |
| 23.13 | 54.8 |
| 23.72 | 27.0 |
| 27.95 | 40.7 |
| 30.76 | 35.7 |
| 31.10 | 100.0 |
| 34.71 | 42.5 |
| 47.29 | 31.0 |
| 51.13 | 39.5 |

Structural model:
```
data_Na3Ti2P3O12
_cell_length_a 9.1119
_cell_length_b 9.1119
_cell_length_c 9.1119
_cell_angle_alpha 58.85
_cell_angle_beta 58.85
_cell_angle_gamma 58.85
_space_group_name_H-M_alt 'P 1'
_space_group_IT_number 1
loop_
_space_group_symop_operation_xyz
'x,y,z'
loop_
_atom_site_label
_atom_site_fract_x
_atom_site_fract_y
_atom_site_fract_z
Na1 0.1415 0.3927 0.7509
Na2 0.2491 0.8585 0.6073
Na3 0.3927 0.7509 0.1415
Na4 0.6073 0.2491 0.8585
Na5 0.7509 0.1415 0.3927
Na6 0.8585 0.6073 0.2491
Ti1 0.1496 0.1496 0.1496
Ti2 0.3511 0.3511 0.3511
Ti3 0.6489 0.6489 0.6489
Ti4 0.8504 0.8504 0.8504
P1 0.0379 0.7481 0.4621
P2 0.2519 0.5379 0.9621
P3 0.4621 0.0379 0.7481
P4 0.5379 0.9621 0.2519
P5 0.7481 0.4621 0.0379
P6 0.9621 0.2519 0.5379
O1 0.0173 0.7490 0.6426
O2 0.0566 0.9284 0.3038
O3 0.0716 0.6962 0.9434
O4 0.1302 0.2758 0.5130
O5 0.2143 0.5854 0.4216
O6 0.2510 0.3574 0.9827
O7 0.2758 0.5130 0.1302
O8 0.3038 0.0566 0.9284
O9 0.3574 0.9827 0.2510
O10 0.4146 0.5784 0.7857
O11 0.4216 0.2143 0.5854
O12 0.4870 0.8698 0.7242
O13 0.5130 0.1302 0.2758
O14 0.5784 0.7857 0.4146
O15 0.5854 0.4216 0.2143
O16 0.6426 0.0173 0.7490
O17 0.6962 0.9434 0.0716
O18 0.7242 0.4870 0.8698
O19 0.7490 0.6426 0.0173
O20 0.7857 0.4146 0.5784
O21 0.8698 0.7242 0.4870
O22 0.9284 0.3038 0.0566
O23 0.9434 0.0716 0.6962
O24 0.9827 0.2510 0.3574
```

No. 4
Theoretical PXRD pattern of Ce2ReRu3 for copper Kα, from a cell relaxed with GGA-PBE.

Main lines, low angle first (2θ from 5° to 70°):
| 2θ/deg | I (rel.) |
| --- | --- |
| 18.16 | 11.8 |
| 31.72 | 45.6 |
| 38.53 | 100.0 |
| 39.10 | 89.5 |
| 43.42 | 18.2 |
| 49.31 | 15.2 |
| 61.07 | 23.0 |
| 61.49 | 23.7 |
| 66.26 | 25.1 |
| 69.32 | 10.8 |

Structural model:
```
data_Ce2ReRu3
_cell_length_a 5.6419
_cell_length_b 5.6419
_cell_length_c 7.9858
_cell_angle_alpha 90.00
_cell_angle_beta 90.00
_cell_angle_gamma 120.00
_space_group_name_H-M_alt 'P 1'
_space_group_IT_number 1
loop_
_space_group_symop_operation_xyz
'x,y,z'
loop_
_atom_site_label
_atom_site_fract_x
_atom_site_fract_y
_atom_site_fract_z
Ce1 0.3333 0.6667 0.0675
Ce2 0.3333 0.6667 0.4325
Ce3 0.6667 0.3333 0.5675
Ce4 0.6667 0.3333 0.9325
Re1 0.0000 0.0000 0.0000
Re2 0.0000 0.0000 0.5000
Ru1 0.1681 0.3361 0.7500
Ru2 0.1681 0.8319 0.7500
Ru3 0.3361 0.1681 0.2500
Ru4 0.6639 0.8319 0.7500
Ru5 0.8319 0.1681 0.2500
Ru6 0.8319 0.6639 0.2500
```

No. 5
Theoretical PXRD pattern of La2Nd4Dy3 for copper Kα, from a cell relaxed with GGA-PBE.

Main lines, low angle first (2θ from 5° to 70°):
| 2θ/deg | I (rel.) |
| --- | --- |
| 28.22 | 43.8 |
| 29.50 | 45.2 |
| 29.92 | 10.0 |
| 31.18 | 58.5 |
| 32.74 | 100.0 |
| 41.28 | 27.7 |
| 49.96 | 35.6 |
| 55.43 | 31.7 |
| 59.09 | 38.1 |
| 61.03 | 18.7 |

Structural model:
```
data_La2Nd4Dy3
_cell_length_a 3.6513
_cell_length_b 3.6513
_cell_length_c 27.2531
_cell_angle_alpha 90.00
_cell_angle_beta 90.00
_cell_angle_gamma 120.00
_space_group_name_H-M_alt 'P 1'
_space_group_IT_number 1
loop_
_space_group_symop_operation_xyz
'x,y,z'
loop_
_atom_site_label
_atom_site_fract_x
_atom_site_fract_y
_atom_site_fract_z
La1 0.0000 0.0000 0.0000
La2 0.0000 0.0000 0.2152
Nd1 0.0000 0.0000 0.3480
Nd2 0.0000 0.0000 0.5596
Nd3 0.3333 0.6667 0.6715
Nd4 0.3333 0.6667 0.8845
Dy1 0.0000 0.0000 0.7785
Dy2 0.3333 0.6667 0.1091
Dy3 0.3333 0.6667 0.4519
```

No. 6
Theoretical PXRD pattern of Sm5Er12Pu for copper Kα, from a cell relaxed with GGA-PBE.

Main lines, low angle first (2θ from 5° to 70°):
| 2θ/deg | I (rel.) |
| --- | --- |
| 9.80 | 0.8 |
| 31.02 | 100.0 |
| 35.97 | 50.7 |
| 51.78 | 36.0 |
| 61.55 | 7.2 |
| 61.60 | 35.7 |
| 64.61 | 6.2 |
| 64.69 | 6.1 |

Structural model:
```
data_Sm5Er12Pu
_cell_length_a 10.5914
_cell_length_b 10.5914
_cell_length_c 6.1209
_cell_angle_alpha 106.75
_cell_angle_beta 106.75
_cell_angle_gamma 59.96
_space_group_name_H-M_alt 'P 1'
_space_group_IT_number 1
loop_
_space_group_symop_operation_xyz
'x,y,z'
loop_
_atom_site_label
_atom_site_fract_x
_atom_site_fract_y
_atom_site_fract_z
Sm1 0.0000 0.0000 0.0000
Sm2 0.1671 0.1671 0.5015
Sm3 0.3350 0.3350 0.0081
Sm4 0.6650 0.6650 0.9919
Sm5 0.8329 0.8329 0.4985
Er1 0.9996 0.3344 0.0015
Er2 0.0004 0.6656 0.9985
Er3 0.1689 0.5012 0.5012
Er4 0.1710 0.8290 0.5000
Er5 0.3344 0.9996 0.0015
Er6 0.3355 0.6645 0.0000
Er7 0.4988 0.8311 0.4988
Er8 0.5012 0.1689 0.5012
Er9 0.6645 0.3355 0.0000
Er10 0.6656 0.0004 0.9985
Er11 0.8290 0.1710 0.5000
Er12 0.8311 0.4988 0.4988
Pu1 0.5000 0.5000 0.5000
```

No. 7
Theoretical PXRD pattern of BaAcHg17 for copper Kα, from a cell relaxed with GGA-PBE.

Main lines, low angle first (2θ from 5° to 70°):
| 2θ/deg | I (rel.) |
| --- | --- |
| 28.73 | 17.3 |
| 30.11 | 30.6 |
| 30.91 | 24.7 |
| 32.71 | 18.2 |
| 33.94 | 100.0 |
| 38.32 | 13.8 |
| 43.69 | 12.8 |
| 53.47 | 15.7 |
| 56.94 | 13.2 |
| 62.44 | 12.7 |

Structural model:
```
data_BaAcHg17
_cell_length_a 8.2899
_cell_length_b 8.2899
_cell_length_c 8.2899
_cell_angle_alpha 76.66
_cell_angle_beta 76.66
_cell_angle_gamma 76.66
_space_group_name_H-M_alt 'P 1'
_space_group_IT_number 1
loop_
_space_group_symop_operation_xyz
'x,y,z'
loop_
_atom_site_label
_atom_site_fract_x
_atom_site_fract_y
_atom_site_fract_z
Ba1 0.0000 0.0000 0.0000
Ac1 0.3229 0.3229 0.3229
Hg1 0.0466 0.0466 0.4241
Hg2 0.0466 0.4241 0.0466
Hg3 0.0719 0.7029 0.7029
Hg4 0.2992 0.2992 0.7487
Hg5 0.2992 0.7487 0.2992
Hg6 0.3446 0.6434 0.9480
Hg7 0.3446 0.9480 0.6434
Hg8 0.4241 0.0466 0.0466
Hg9 0.5278 0.5278 0.5278
Hg10 0.6434 0.3446 0.9480
Hg11 0.6434 0.9480 0.3446
Hg12 0.7014 0.7014 0.7014
Hg13 0.7029 0.0719 0.7029
Hg14 0.7029 0.7029 0.0719
Hg15 0.7487 0.2992 0.2992
Hg16 0.9480 0.3446 0.6434
Hg17 0.9480 0.6434 0.3446
```

No. 8
Theoretical PXRD pattern of Ac8Pr3Sm for copper Kα, from a cell relaxed with GGA-PBE.

Main lines, low angle first (2θ from 5° to 70°):
| 2θ/deg | I (rel.) |
| --- | --- |
| 14.23 | 33.4 |
| 14.83 | 24.7 |
| 28.35 | 62.4 |
| 28.58 | 63.3 |
| 28.69 | 36.7 |
| 29.29 | 100.0 |
| 32.10 | 36.5 |
| 32.16 | 26.8 |
| 33.25 | 47.8 |
| 60.74 | 23.9 |

Structural model:
```
data_Ac8Pr3Sm
_cell_length_a 9.3756
_cell_length_b 9.3756
_cell_length_c 7.2899
_cell_angle_alpha 112.80
_cell_angle_beta 112.80
_cell_angle_gamma 79.13
_space_group_name_H-M_alt 'P 1'
_space_group_IT_number 1
loop_
_space_group_symop_operation_xyz
'x,y,z'
loop_
_atom_site_label
_atom_site_fract_x
_atom_site_fract_y
_atom_site_fract_z
Ac1 0.0940 0.4046 0.8003
Ac2 0.2209 0.7238 0.7226
Ac3 0.2762 0.7791 0.2774
Ac4 0.4046 0.0940 0.8003
Ac5 0.5954 0.9060 0.1997
Ac6 0.7238 0.2209 0.7226
Ac7 0.7791 0.2762 0.2774
Ac8 0.9060 0.5954 0.1997
Pr1 0.2474 0.2474 0.2909
Pr2 0.5000 0.5000 0.0000
Pr3 0.7526 0.7526 0.7091
Sm1 0.0000 0.0000 0.5000
```